1.
Starting from a structure optimized by DFT (GGA-PBE), the powder diffraction line list of Ba3MgIrRuO9 was computed for Cu Kα X-rays.
Intensities are scaled so that the largest is 100.

The 10 most intense peaks (2θ = 10–90°), in order of falling intensity:
| (hkl) | 2θ/deg | Rel. int. |
| --- | --- | --- |
| 1 1 0 | 30.58 | 100 |
| 3 0 0 | 54.39 | 26 |
| 1 0 5 | 35.94 | 22 |
| 0 2 5 | 47.87 | 20 |
| 2 0 4 | 43.77 | 19 |
| 2 0 7 | 57.90 | 17 |
| 0 1 1 | 18.59 | 16 |
| 2 2 0 | 63.73 | 13 |
| 0 1 3 | 25.61 | 12 |
| 4 1 0 | 88.58 | 11 |

a b c (Å): 5.8408 5.8408 14.3735
angles (deg): 90.00 90.00 120.00
Space group P-3m1 (No. 164)
Asymmetric unit:
Ba (0.0000, 0.0000, 0.2494) x2
Ba (0.3333, 0.6667, 0.0864) x2
Ba (0.3333, 0.6667, 0.4127) x2
Mg (0.0000, 0.0000, 0.0000) x1
Mg (0.0000, 0.0000, 0.5000) x1
Ir (0.3333, 0.6667, 0.8425) x2
Ru (0.3333, 0.6667, 0.6558) x2
O (0.0276, 0.5138, 0.7502) x6
O (0.1712, 0.3424, 0.9173) x6
O (0.1718, 0.3436, 0.5835) x6

***

2.
Starting from a structure optimized by DFT (GGA-PBE), the powder diffraction line list of Pm6SiSb3 was computed for Cu Kα X-rays.
Intensities are scaled so that the largest is 100.

The 10 most intense peaks (2θ = 10–90°), in order of falling intensity:
| (hkl) | 2θ/deg | Rel. int. |
| --- | --- | --- |
| 4 -1 2 | 33.57 | 100 |
| 3 0 3 | 31.09 | 88 |
| 4 -3 1 | 32.14 | 72 |
| 1 3 4 | 38.83 | 52 |
| 1 0 4 | 23.60 | 49 |
| 1 2 2 | 25.60 | 40 |
| 2 0 5 | 32.71 | 35 |
| 2 2 6 | 45.57 | 31 |
| 3 -1 1 | 23.74 | 30 |
| 2 -1 6 | 36.56 | 28 |

a b c (Å): 11.7680 11.7680 16.2301
angles (deg): 90.00 90.00 120.00
Space group R-3 (No. 148, hexagonal axes)
Asymmetric unit:
Pm (0.0508, 0.1924, 0.3697) x18
Pm (0.0619, 0.8425, 0.1060) x18
Si (0.0000, 0.0000, 0.0000) x3
Si (0.0000, 0.0000, 0.5000) x3
Sb (0.0331, 0.4487, 0.3956) x18

***

3.
Starting from a structure optimized by DFT (GGA-PBE), the powder diffraction line list of CeTh5N6 was computed for Cu Kα X-rays.
Intensities are scaled so that the largest is 100.

The 10 most intense peaks (2θ = 10–90°), in order of falling intensity:
| (hkl) | 2θ/deg | Rel. int. |
| --- | --- | --- |
| 2 0 0 | 30.00 | 100 |
| 1 3 1 | 34.78 | 67 |
| 2 0 2 | 50.00 | 48 |
| 2 6 0 | 59.40 | 31 |
| 4 6 0 | 83.85 | 18 |
| 5 3 -1 | 81.27 | 17 |
| 4 0 0 | 62.35 | 17 |
| 3 3 1 | 59.46 | 16 |
| 2 6 2 | 73.45 | 5 |
| 3 3 3 | 83.95 | 4 |

a b c (Å): 6.3198 10.9449 6.3203
angles (deg): 90.00 109.56 90.00
Space group C2/m (No. 12)
Asymmetric unit:
Ce (0.0000, 0.0000, 0.0000) x2
Th (0.0000, 0.1657, 0.5000) x4
Th (0.0000, 0.3329, 0.0000) x4
Th (0.0000, 0.5000, 0.5000) x2
N (0.2504, 0.0000, 0.7502) x4
N (0.2500, 0.1666, 0.2494) x8

***

4.
Starting from a structure optimized by DFT (GGA-PBE), the powder diffraction line list of Pm6Rh5Pb was computed for Cu Kα X-rays.
Intensities are scaled so that the largest is 100.

The 10 most intense peaks (2θ = 10–90°), in order of falling intensity:
| (hkl) | 2θ/deg | Rel. int. |
| --- | --- | --- |
| 1 2 1 | 35.09 | 100 |
| 1 2 -2 | 35.31 | 98 |
| 2 0 -1 | 35.84 | 48 |
| 0 0 3 | 35.69 | 47 |
| 2 4 -1 | 62.80 | 35 |
| 0 4 0 | 49.78 | 18 |
| 3 2 0 | 63.78 | 17 |
| 3 2 -3 | 64.21 | 17 |
| 2 0 2 | 51.14 | 17 |
| 1 2 4 | 63.58 | 17 |

a b c (Å): 5.0116 7.3268 7.9246
angles (deg): 90.00 107.74 90.00
Space group P2/m (No. 10)
Asymmetric unit:
Pm (0.0000, 0.2297, 0.0000) x2
Pm (0.3253, 0.2438, 0.6523) x4
Rh (0.1595, 0.5000, 0.3199) x2
Rh (0.1665, 0.0000, 0.3333) x2
Rh (0.5000, 0.0000, 0.0000) x1
Pb (0.5000, 0.5000, 0.0000) x1

***

5.
Starting from a structure optimized by DFT (GGA-PBE), the powder diffraction line list of Ta3O8 was computed for Cu Kα X-rays.
Intensities are scaled so that the largest is 100.

The 10 most intense peaks (2θ = 10–90°), in order of falling intensity:
| (hkl) | 2θ/deg | Rel. int. |
| --- | --- | --- |
| 0 1 0 | 22.69 | 100 |
| 3 0 2 | 25.05 | 67 |
| 3 1 2 | 34.05 | 40 |
| 5 0 1 | 27.98 | 33 |
| 4 0 1 | 23.07 | 29 |
| 5 1 1 | 36.32 | 24 |
| 1 0 3 | 29.85 | 22 |
| 0 2 0 | 46.34 | 21 |
| 3 2 2 | 53.40 | 16 |
| 4 1 1 | 32.58 | 16 |

a b c (Å): 17.0177 3.9186 9.1223
angles (deg): 90.00 90.00 90.00
Space group Pmma (No. 51)
Asymmetric unit:
Ta (0.0592, 0.0000, 0.1848) x4
Ta (0.1300, 0.0000, 0.5987) x4
Ta (0.2500, 0.0000, 0.3081) x2
Ta (0.2500, 0.0000, 0.9414) x2
O (0.0000, 0.0000, 0.0000) x2
O (0.0225, 0.0000, 0.6686) x4
O (0.0620, 0.5000, 0.1766) x4
O (0.1277, 0.5000, 0.5867) x4
O (0.1321, 0.0000, 0.3743) x4
O (0.1682, 0.0000, 0.7975) x4
O (0.1749, 0.0000, 0.1198) x4
O (0.2500, 0.0000, 0.5358) x2
O (0.2500, 0.5000, 0.3023) x2
O (0.2500, 0.5000, 0.9509) x2

***

6.
Starting from a structure optimized by DFT (GGA-PBE), the powder diffraction line list of Rb3NaFe2Cl8 was computed for Cu Kα X-rays.
Intensities are scaled so that the largest is 100.

The 10 most intense peaks (2θ = 10–90°), in order of falling intensity:
| (hkl) | 2θ/deg | Rel. int. |
| --- | --- | --- |
| 1 1 0 | 24.10 | 100 |
| 2 0 2 | 34.01 | 69 |
| 2 2 0 | 49.35 | 38 |
| 0 2 1 | 29.53 | 37 |
| 0 1 2 | 23.64 | 36 |
| 1 0 3 | 32.05 | 31 |
| 0 2 4 | 48.36 | 21 |
| 3 0 0 | 42.39 | 21 |
| 0 0 3 | 28.76 | 19 |
| 2 1 3 | 47.68 | 19 |

a b c (Å): 7.3861 7.3861 9.3116
angles (deg): 90.00 90.00 120.00
Space group P-3m1 (No. 164)
Asymmetric unit:
Rb (0.0000, 0.0000, 0.0000) x1
Rb (0.3333, 0.6667, 0.6304) x2
Na (0.0000, 0.0000, 0.5000) x1
Fe (0.3333, 0.6667, 0.2116) x2
Cl (0.1687, 0.3374, 0.3135) x6
Cl (0.3333, 0.6667, 0.9712) x2

***

7.
Starting from a structure optimized by DFT (GGA-PBE), the powder diffraction line list of DyFeW was computed for Cu Kα X-rays.
Intensities are scaled so that the largest is 100.

The 10 most intense peaks (2θ = 10–90°), in order of falling intensity:
| (hkl) | 2θ/deg | Rel. int. |
| --- | --- | --- |
| 1 1 1 | 21.84 | 100 |
| 0 4 4 | 40.16 | 89 |
| 1 3 3 | 35.87 | 78 |
| 1 1 7 | 37.14 | 78 |
| 2 2 4 | 47.15 | 59 |
| 0 0 8 | 34.38 | 54 |
| 1 3 5 | 39.95 | 31 |
| 1 3 11 | 59.70 | 29 |
| 2 6 0 | 70.12 | 29 |
| 2 2 0 | 43.64 | 23 |

a b c (Å): 4.5641 9.9498 20.8674
angles (deg): 90.00 90.00 90.00
Space group Fddd (No. 70, origin choice 2)
Asymmetric unit:
Dy (0.1250, 0.2702, 0.1250) x16
Fe (0.1250, 0.1250, 0.5395) x16
W (0.1250, 0.1250, 0.2540) x16

***

8.
Starting from a structure optimized by DFT (GGA-PBE), the powder diffraction line list of Ce6HOs2 was computed for Cu Kα X-rays.
Intensities are scaled so that the largest is 100.

The 10 most intense peaks (2θ = 10–90°), in order of falling intensity:
| (hkl) | 2θ/deg | Rel. int. |
| --- | --- | --- |
| 2 1 -3 | 33.13 | 100 |
| 1 1 -4 | 33.95 | 86 |
| 1 2 1 | 34.76 | 83 |
| 2 1 0 | 36.96 | 58 |
| 0 2 3 | 37.90 | 51 |
| 1 3 -1 | 41.17 | 51 |
| 1 0 -4 | 31.43 | 45 |
| 2 1 3 | 57.94 | 37 |
| 1 1 0 | 21.28 | 34 |
| 3 2 -1 | 55.26 | 32 |

a b c (Å): 6.1475 7.0407 11.4355
angles (deg): 90.00 122.50 90.00
Space group P2_1/c (No. 14)
Asymmetric unit:
Ce (0.0825, 0.1536, 0.4437) x4
Ce (0.3115, 0.6499, 0.4451) x4
Ce (0.3745, 0.0371, 0.2496) x4
H (0.0000, 0.0000, 0.0000) x2
Os (0.1725, 0.1372, 0.7489) x4